# 1
# NaNbSi2GeSO12
Simulated powder diffraction line list, Cu Kα, 1.54184 Å. Input: a DFT-relaxed cell (GGA-PBE, the Materials Project).

Structural model:
```
36
Lattice="7.5101 -4.3976 0.0000 7.5101 4.3976 0.0000 -5.2984 0.0000 7.5239" Properties=species:S:1:pos:R:3 pbc="T T T"
Na 4.8609 2.2423 3.7620
Na 7.5101 -2.2423 0.0000
Nb 5.0659 2.2224 0.4491
Nb 2.4167 -2.2224 4.2111
Si 2.0105 3.3800 5.5744
Si 2.4566 0.3472 1.8271
Si -0.1926 -0.3472 5.5890
Si 4.6597 -3.3800 1.8124
Ge 4.8885 2.4804 7.0017
Ge 7.5377 -2.4804 3.2398
S 7.8571 0.8726 1.7987
S 5.2078 -0.8726 5.5607
O 1.1516 1.3196 1.9577
O 1.0285 3.1968 6.8813
O -0.4536 0.5503 4.2604
O 3.7846 1.2855 1.6546
O 3.4716 2.6627 5.8098
O 2.1956 -0.5503 0.4985
O -0.0057 0.6120 6.8977
O -1.4976 -1.3196 5.7197
O 6.5098 1.5474 1.7153
O 2.6435 -0.6120 3.1358
O 1.1354 -1.2855 5.4166
O 8.6787 1.1246 0.6136
O 8.3797 1.5266 3.0372
O 5.0028 0.5608 5.7376
O 11.4631 1.6327 0.4657
O 7.6521 -0.5608 1.9756
O 3.8606 -1.5474 5.4772
O 6.0295 -1.1246 4.3756
O 3.6777 -3.1968 3.1194
O 6.1208 -2.6627 2.0479
O 9.6936 0.6113 5.4031
O 5.7305 -1.5266 6.7991
O 12.3429 -0.6113 1.6411
O 8.8139 -1.6327 4.2276
```

Principal peaks in the range 2θ from 10° to 90°, by intensity:
| Position (°2θ) | Rel. int. |
| --- | --- |
| 20.42 | 100 |
| 19.79 | 74 |
| 23.43 | 56 |
| 28.08 | 55 |
| 20.19 | 52 |
| 19.31 | 46 |
| 31.98 | 43 |
| 23.28 | 42 |
| 30.90 | 40 |
| 31.30 | 40 |
| 23.98 | 38 |
| 13.94 | 33 |

# 2
# CaTi4Cu3O12
Simulated powder diffraction line list, Cu Kα, 1.54184 Å. Input: a DFT-relaxed cell (GGA-PBE, the Materials Project).

Structural model:
```
20
Lattice="-3.7300 3.7300 3.7300 3.7300 -3.7300 3.7300 3.7300 3.7300 -3.7300" Properties=species:S:1:pos:R:3 pbc="T T T"
Ca 0.0000 0.0000 0.0000
Ti 1.8650 1.8650 -1.8650
Ti 1.8650 -1.8650 1.8650
Ti -1.8650 1.8650 1.8650
Ti 1.8650 1.8650 1.8650
Cu 3.7300 0.0000 0.0000
Cu 0.0000 3.7300 0.0000
Cu 0.0000 0.0000 3.7300
O 3.7300 -1.4719 2.4082
O 2.2581 1.3218 0.0000
O 5.2019 1.3218 0.0000
O 2.4082 3.7300 -1.4719
O 1.3218 0.0000 2.2581
O 0.0000 2.2581 1.3218
O 3.7300 1.4719 2.4082
O 2.4082 3.7300 1.4719
O 1.3218 0.0000 5.2019
O -1.4719 2.4082 3.7300
O 1.4719 2.4082 3.7300
O 0.0000 5.2019 1.3218
```

Principal peaks in the range 2θ from 10° to 90°, by intensity:
| Position (°2θ) | Rel. int. |
| --- | --- |
| 33.99 | 100 |
| 60.83 | 50 |
| 48.83 | 29 |
| 81.62 | 15 |
| 71.55 | 13 |
| 38.15 | 7 |
| 41.95 | 6 |
| 29.33 | 5 |
| 45.49 | 4 |
| 16.81 | 3 |
| 74.11 | 2 |
| 52.01 | 2 |

# 3
# CeOsRu
Simulated powder diffraction line list, Cu Kα, 1.54184 Å. Input: a DFT-relaxed cell (GGA-PBE, the Materials Project).

Structural model:
```
6
Lattice="-2.6055 2.7729 3.8185 2.6055 -2.7729 3.8185 2.6055 2.7729 -3.8185" Properties=species:S:1:pos:R:3 pbc="T T T"
Ce 0.0000 1.3865 0.9511
Ce 2.6055 1.3865 2.8674
Os 1.3028 1.3865 -1.9093
Os 1.3028 -1.3865 1.9093
Ru 2.6055 0.0000 0.0000
Ru 0.0000 0.0000 3.8185
```

Principal peaks in the range 2θ from 10° to 90°, by intensity:
| Position (°2θ) | Rel. int. |
| --- | --- |
| 40.01 | 100 |
| 38.62 | 55 |
| 38.93 | 54 |
| 40.19 | 51 |
| 41.98 | 45 |
| 69.86 | 44 |
| 33.27 | 40 |
| 19.78 | 28 |
| 32.28 | 27 |
| 62.83 | 27 |
| 39.39 | 26 |
| 62.05 | 14 |

# 4
# ZrMnGe
Simulated powder diffraction line list, Cu Kα, 1.54184 Å. Input: a DFT-relaxed cell (GGA-PBE, the Materials Project).

Structural model:
```
12
Lattice="6.7431 0.0000 0.0000 0.0000 3.7998 0.0000 0.0000 0.0000 7.8399" Properties=species:S:1:pos:R:3 pbc="T T T"
Zr 0.2230 0.9499 1.4031
Zr 3.1486 2.8498 5.3231
Zr 3.5946 0.9499 2.5169
Zr 6.5201 2.8498 6.4368
Mn 0.9017 0.9499 4.4043
Mn 2.4698 2.8498 0.4844
Mn 4.2733 0.9499 7.3555
Mn 5.8414 2.8498 3.4356
Ge 1.6048 2.8498 2.9464
Ge 1.7668 0.9499 6.8663
Ge 4.9764 2.8498 0.9736
Ge 5.1383 0.9499 4.8935
```

Principal peaks in the range 2θ from 10° to 90°, by intensity:
| Position (°2θ) | Rel. int. |
| --- | --- |
| 37.46 | 100 |
| 35.49 | 71 |
| 47.88 | 35 |
| 41.96 | 33 |
| 36.89 | 30 |
| 46.58 | 29 |
| 44.15 | 27 |
| 35.60 | 22 |
| 69.02 | 17 |
| 41.81 | 16 |
| 68.10 | 13 |
| 61.93 | 12 |

# 5
# PrSiIr
Simulated powder diffraction line list, Cu Kα, 1.54184 Å. Input: a DFT-relaxed cell (GGA-PBE, the Materials Project).

Structural model:
```
12
Lattice="6.3933 0.0000 0.0000 0.0000 6.3933 0.0000 0.0000 0.0000 6.3933" Properties=species:S:1:pos:R:3 pbc="T T T"
Pr 0.7806 2.4161 3.9773
Pr 2.4161 3.9773 0.7806
Pr 3.9773 0.7806 2.4161
Pr 5.6127 5.6127 5.6127
Si 1.0508 1.0508 1.0508
Si 2.1458 5.3425 4.2475
Si 4.2475 2.1458 5.3425
Si 5.3425 4.2475 2.1458
Ir 0.4520 5.9414 2.7447
Ir 2.7447 0.4520 5.9414
Ir 3.6486 3.6486 3.6486
Ir 5.9414 2.7447 0.4520
```

Principal peaks in the range 2θ from 10° to 90°, by intensity:
| Position (°2θ) | Rel. int. |
| --- | --- |
| 31.28 | 100 |
| 34.36 | 62 |
| 53.64 | 49 |
| 24.11 | 21 |
| 47.15 | 19 |
| 80.99 | 19 |
| 42.41 | 18 |
| 59.63 | 18 |
| 75.88 | 16 |
| 27.91 | 16 |
| 67.09 | 15 |
| 63.42 | 10 |

# 6
# Tc2P3
Simulated powder diffraction line list, Cu Kα, 1.54184 Å. Input: a DFT-relaxed cell (GGA-PBE, the Materials Project).

Structural model:
```
20
Lattice="6.3213 0.0000 0.0000 -1.5798 6.1688 0.0000 -1.5671 -1.2021 7.4684" Properties=species:S:1:pos:R:3 pbc="T T T"
Tc -0.9057 1.7945 2.6997
Tc -0.7045 -0.5157 6.4226
Tc 0.8757 5.4665 1.0912
Tc 0.6788 3.1354 4.7156
Tc 2.4956 1.8313 2.7528
Tc 2.2987 -0.4998 6.3772
Tc 3.8789 5.4824 1.0458
Tc 4.0800 3.1722 4.7688
P -2.3528 3.0620 7.1975
P -0.7949 1.3387 5.0610
P 0.8018 0.0381 2.6972
P -0.7747 5.0446 4.6146
P 0.7837 3.5279 2.3754
P 2.3738 1.9349 0.3213
P 0.8006 3.0318 7.1471
P 2.3907 1.4388 5.0930
P 3.9491 -0.0779 2.8538
P 2.3725 4.9286 4.7712
P 3.9693 3.6280 2.4074
P 5.5272 1.9047 0.2709
```

Principal peaks in the range 2θ from 10° to 90°, by intensity:
| Position (°2θ) | Rel. int. |
| --- | --- |
| 37.12 | 100 |
| 46.70 | 83 |
| 43.15 | 78 |
| 17.26 | 74 |
| 33.77 | 70 |
| 30.03 | 63 |
| 53.74 | 61 |
| 25.93 | 54 |
| 41.30 | 43 |
| 58.40 | 29 |
| 48.77 | 29 |
| 20.23 | 28 |

# 7
# RbCdF3
Simulated powder diffraction line list, Cu Kα, 1.54184 Å. Input: a DFT-relaxed cell (GGA-PBE, the Materials Project).

Structural model:
```
5
Lattice="4.5029 0.0000 0.0000 0.0000 4.5029 0.0000 0.0000 0.0000 4.5029" Properties=species:S:1:pos:R:3 pbc="T T T"
Rb 0.0000 0.0000 0.0000
Cd 2.2515 2.2515 2.2515
F 0.0000 2.2515 2.2515
F 2.2515 0.0000 2.2515
F 2.2515 2.2515 0.0000
```

Principal peaks in the range 2θ from 10° to 90°, by intensity:
| Position (°2θ) | Rel. int. |
| --- | --- |
| 28.02 | 100 |
| 49.59 | 41 |
| 40.05 | 39 |
| 57.93 | 24 |
| 79.67 | 21 |
| 65.56 | 18 |
| 19.72 | 9 |
| 72.75 | 8 |
| 86.44 | 4 |
| 45.02 | 4 |
| 61.81 | 1 |
| 34.50 | 1 |

# 8
# Rb3Dy
Simulated powder diffraction line list, Cu Kα, 1.54184 Å. Input: a DFT-relaxed cell (GGA-PBE, the Materials Project).

Structural model:
```
4
Lattice="6.3944 0.0000 0.0000 0.0000 6.3944 0.0000 0.0000 0.0000 6.3944" Properties=species:S:1:pos:R:3 pbc="T T T"
Rb 0.0000 0.0000 3.1972
Rb 0.0000 3.1972 0.0000
Rb 3.1972 0.0000 0.0000
Dy 3.1972 3.1972 3.1972
```

Principal peaks in the range 2θ from 10° to 90°, by intensity:
| Position (°2θ) | Rel. int. |
| --- | --- |
| 24.11 | 100 |
| 27.91 | 52 |
| 47.14 | 48 |
| 39.88 | 39 |
| 63.41 | 20 |
| 65.25 | 18 |
| 77.58 | 15 |
| 49.37 | 14 |
| 72.40 | 13 |
| 13.85 | 8 |
| 19.63 | 7 |
| 57.66 | 7 |

# 9
# KCu2S2
Simulated powder diffraction line list, Cu Kα, 1.54184 Å. Input: a DFT-relaxed cell (GGA-PBE, the Materials Project).

Structural model:
```
5
Lattice="-1.9147 1.9147 6.6468 1.9147 -1.9147 6.6468 1.9147 1.9147 -6.6468" Properties=species:S:1:pos:R:3 pbc="T T T"
K 0.0000 0.0000 0.0000
Cu 1.9147 0.0000 3.3234
Cu 0.0000 1.9147 3.3234
S 0.0000 0.0000 4.6869
S 0.0000 0.0000 8.6067
```

Principal peaks in the range 2θ from 10° to 90°, by intensity:
| Position (°2θ) | Rel. int. |
| --- | --- |
| 13.32 | 100 |
| 35.81 | 70 |
| 30.86 | 44 |
| 53.43 | 41 |
| 43.09 | 37 |
| 47.48 | 34 |
| 26.83 | 22 |
| 55.34 | 18 |
| 75.82 | 15 |
| 49.54 | 14 |
| 57.71 | 12 |
| 80.64 | 11 |

# 10
# Cs3AlBr6
Simulated powder diffraction line list, Cu Kα, 1.54184 Å. Input: a DFT-relaxed cell (GGA-PBE, the Materials Project).

Structural model:
```
10
Lattice="0.0000 5.9405 5.9405 5.9405 0.0000 5.9405 5.9405 5.9405 0.0000" Properties=species:S:1:pos:R:3 pbc="T T T"
Cs 0.0000 0.0000 0.0000
Cs 2.9703 2.9703 2.9703
Cs 8.9108 8.9108 8.9108
Al 5.9405 5.9405 5.9405
Br 5.9405 5.9405 3.4086
Br 5.9405 3.4086 5.9405
Br 8.4725 5.9405 5.9405
Br 3.4086 5.9405 5.9405
Br 5.9405 8.4725 5.9405
Br 5.9405 5.9405 8.4725
```

Principal peaks in the range 2θ from 10° to 90°, by intensity:
| Position (°2θ) | Rel. int. |
| --- | --- |
| 30.09 | 100 |
| 25.98 | 81 |
| 43.07 | 62 |
| 21.15 | 56 |
| 32.86 | 34 |
| 48.46 | 24 |
| 50.99 | 23 |
| 39.41 | 20 |
| 58.10 | 20 |
| 70.95 | 19 |
| 53.43 | 18 |
| 59.79 | 18 |